Computed X-ray powder pattern of Tb4BS3 for Cu Kα, from a DFT-relaxed cell (PBE, Alexandria).

Crystal structure
```
Tb4BS3
1.0
7.885 0.000 0.000
0.000 11.070 0.000
0.000 0.000 3.891
Tb B S
8 2 6
direct
0.000 0.236 0.000 Tb
0.000 0.764 0.000 Tb
0.229 0.000 0.500 Tb
0.271 0.500 0.500 Tb
0.500 0.264 0.000 Tb
0.500 0.736 0.000 Tb
0.729 0.500 0.500 Tb
0.771 0.000 0.500 Tb
0.000 0.000 0.000 B
0.500 0.500 0.000 B
0.000 0.500 0.000 S
0.250 0.250 0.500 S
0.250 0.750 0.500 S
0.500 0.000 0.000 S
0.750 0.250 0.500 S
0.750 0.750 0.500 S
```

Principal peaks in the range 10 to 90 degrees two-theta, low angle first:
- hkl 2 2 0, 2θ 27.8, 3.211 Å, rel. 47
- hkl 0 2 1, 2θ 28.0, 3.183 Å, rel. 48
- hkl 2 0 1, 2θ 32.3, 2.769 Å, rel. 100
- hkl 4 0 0, 2θ 46.0, 1.971 Å, rel. 11
- hkl 2 4 1, 2θ 46.4, 1.958 Å, rel. 46
- hkl 0 0 2, 2θ 46.7, 1.945 Å, rel. 12
- hkl 4 2 1, 2θ 54.8, 1.676 Å, rel. 13
- hkl 2 2 2, 2θ 55.2, 1.664 Å, rel. 15
- hkl 0 4 2, 2θ 57.9, 1.591 Å, rel. 12
- hkl 4 4 2, 2θ 77.0, 1.238 Å, rel. 18